This entry pairs a crystal structure of UP2Pb2O10 with its simulated powder diffractogram. Radiation: Cu Kα X-rays. Structure: a crystal structure in Alexandria, relaxed with GGA-PBE.

Principal peaks in the range 10 to 90 degrees two-theta, in order of rising 2θ:
2θ/deg	d (Å)	I (rel.)	h k l
20.78	4.275	100	1 -1 1
21.03	4.224	26	0 1 2
25.64	3.475	33	0 0 3
26.54	3.359	46	1 0 3
26.96	3.307	35	0 2 1
27.39	3.256	18	2 0 0
27.76	3.213	30	1 2 1
30.23	2.957	18	2 1 2
31.55	2.836	40	0 2 -2
43.48	2.081	24	2 -1 4

Cell and atoms:
a b c (Å): 6.7215 6.9793 10.6626
angles (deg): 86.49 78.00 81.54
Space group P-1 (No. 2)
Asymmetric unit:
U 0.1156 0.3822 0.1589 x2
P 0.2781 0.1832 0.4465 x2
P 0.3659 0.5336 0.8209 x2
Pb 0.2554 0.0565 0.7696 x2
Pb 0.2796 0.7024 0.4487 x2
O 0.0692 0.6331 0.2129 x2
O 0.1204 0.2908 0.3684 x2
O 0.1467 0.1358 0.1029 x2
O 0.1568 0.0926 0.5707 x2
O 0.2008 0.4954 0.9441 x2
O 0.2325 0.6748 0.7408 x2
O 0.4057 0.3365 0.4758 x2
O 0.4143 0.0147 0.3672 x2
O 0.4523 0.3413 0.7534 x2
O 0.4627 0.3648 0.1470 x2